[1]
Starting from a DFT-relaxed cell (PBE, Alexandria), the X-ray powder pattern of Th6Ni6Hg was computed for CuKα.
Lines closer than 0.1° are merged.

Largest 8 diffraction maxima, by angle, 2θ from 5° to 70°:
25.50 deg, 3.493 Å, rel. 39; 31.39 deg, 2.850 Å, rel. 100; 31.60 deg, 2.831 Å, rel. 41; 36.26 deg, 2.478 Å, rel. 37; 36.36 deg, 2.471 Å, rel. 72; 36.56 deg, 2.458 Å, rel. 34; 41.00 deg, 2.201 Å, rel. 37; 48.70 deg, 1.870 Å, rel. 32

Structure:
```
data_Th6Ni6Hg
_space_group_name_H-M_alt 'I m m m'
_space_group_IT_number 71
_space_group_name_Hall '-I 2 2'
_cell_length_a 5.663
_cell_length_b 9.889
_cell_length_c 9.914
_cell_angle_alpha 90.00
_cell_angle_beta 90.00
_cell_angle_gamma 90.00
loop_
_atom_site_label
_atom_site_fract_x
_atom_site_fract_y
_atom_site_fract_z
_atom_site_occupancy
Th1 0.000 0.000 0.187 1
Th2 0.000 0.331 0.000 1
Th3 0.000 0.338 0.500 1
Ni1 0.000 0.500 0.247 1
Ni2 0.250 0.250 0.250 1
Hg1 0.000 0.000 0.500 1
```

---

[2]
Starting from a DFT-relaxed cell (PBE, Alexandria), the X-ray powder pattern of NaF11 was computed for CuKα.
Lines closer than 0.1° are merged.

Largest 8 diffraction maxima, by angle, 2θ from 5° to 70°:
11.94 deg, 7.412 Å, rel. 27; 25.56 deg, 3.485 Å, rel. 52; 29.52 deg, 3.026 Å, rel. 100; 29.63 deg, 3.015 Å, rel. 18; 32.00 deg, 2.797 Å, rel. 31; 35.39 deg, 2.536 Å, rel. 16; 39.49 deg, 2.282 Å, rel. 17; 44.15 deg, 2.051 Å, rel. 49

Structure:
```
data_NaF11
_space_group_name_H-M_alt 'I m m a'
_space_group_IT_number 74
_space_group_name_Hall '-I 2b 2'
_cell_length_a 6.958
_cell_length_b 9.386
_cell_length_c 12.081
_cell_angle_alpha 90.00
_cell_angle_beta 90.00
_cell_angle_gamma 90.00
loop_
_atom_site_label
_atom_site_fract_x
_atom_site_fract_y
_atom_site_fract_z
_atom_site_occupancy
Na1 0.000 0.250 0.110 1
F1 0.000 0.000 0.500 1
F2 0.000 0.250 0.292 1
F3 0.103 0.059 0.806 1
F4 0.219 0.170 0.503 1
F5 0.250 0.250 0.250 1
```

---

[3]
Starting from a DFT-relaxed cell (PBE, Alexandria), the X-ray powder pattern of LiY2Ga2 was computed for CuKα.
Lines closer than 0.1° are merged.

Largest 8 diffraction maxima, by angle, 2θ from 5° to 70°:
25.84 deg, 3.448 Å, rel. 28; 32.11 deg, 2.788 Å, rel. 20; 32.45 deg, 2.759 Å, rel. 38; 32.57 deg, 2.749 Å, rel. 100; 33.50 deg, 2.675 Å, rel. 35; 35.73 deg, 2.513 Å, rel. 32; 39.80 deg, 2.265 Å, rel. 49; 40.76 deg, 2.214 Å, rel. 37

Structure:
```
data_LiY2Ga2
_space_group_name_H-M_alt 'C 1 2/m 1'
_space_group_IT_number 12
_cell_length_a 10.708
_cell_length_b 4.428
_cell_length_c 10.652
_cell_angle_alpha 90.00
_cell_angle_beta 118.06
_cell_angle_gamma 90.00
loop_
_space_group_symop_operation_xyz
'x,y,z'
'-x,-y,-z'
'-x,y,-z'
'x,-y,z'
'x+1/2,y+1/2,z'
'-x+1/2,-y+1/2,-z'
'-x+1/2,y+1/2,-z'
'x+1/2,-y+1/2,z'
loop_
_atom_site_label
_atom_site_fract_x
_atom_site_fract_y
_atom_site_fract_z
_atom_site_occupancy
Li1 0.224 0.000 0.361 1
Y1 0.014 0.500 0.329 1
Y2 0.185 0.500 0.101 1
Ga1 0.022 0.000 0.887 1
Ga2 0.135 0.000 0.575 1
```

---

[4]
Starting from a DFT-relaxed cell (PBE, Alexandria), the X-ray powder pattern of Pr4Ge2AsCl was computed for CuKα.
Lines closer than 0.1° are merged.

Largest 8 diffraction maxima, by angle, 2θ from 5° to 70°:
25.45 deg, 3.500 Å, rel. 25; 29.47 deg, 3.031 Å, rel. 100; 42.17 deg, 2.143 Å, rel. 75; 49.90 deg, 1.828 Å, rel. 12; 52.28 deg, 1.750 Å, rel. 26; 61.16 deg, 1.515 Å, rel. 12; 67.33 deg, 1.391 Å, rel. 5; 69.33 deg, 1.355 Å, rel. 33

Structure:
```
data_Pr4Ge2AsCl
_space_group_name_H-M_alt 'I 4/m m m'
_space_group_IT_number 139
_space_group_name_Hall '-I 4 2'
_cell_length_a 6.062
_cell_length_b 6.062
_cell_length_c 12.123
_cell_angle_alpha 90.00
_cell_angle_beta 90.00
_cell_angle_gamma 90.00
loop_
_atom_site_label
_atom_site_fract_x
_atom_site_fract_y
_atom_site_fract_z
_atom_site_occupancy
Pr1 0.000 0.000 0.245 1
Pr2 0.000 0.500 0.000 1
Ge1 0.000 0.500 0.250 1
As1 0.000 0.000 0.000 1
Cl1 0.000 0.000 0.500 1
```